Diffraction record for Gd3Si4Pt. The X-ray diffraction stick pattern is calculated, not measured: it uses a structure optimized by DFT (GGA-PBE) and a wavelength of 1.5418 Å.
No peak broadening, texture or thermal motion is included.

Top 12 peaks for 15 to 90 degrees two-theta, by angle:
d_spacing	Rel. int.	index
3.768	48	0 0 2
3.375	17	1 0 -2
3.185	88	1 1 0
3.025	26	1 1 -1
2.851	29	1 1 1
2.791	38	2 0 -1
2.693	30	0 1 2
2.536	100	1 1 -2
2.339	39	1 1 2
1.926	27	0 2 0
1.704	22	3 1 -1
1.610	22	3 1 1

Structural model:
```
data_Gd3Si4Pt
_chemical_formula_sum 'Gd3 Si4 Pt1'
_space_group_name_H-M_alt 'P 1 m 1'
_space_group_IT_number 6
_space_group_name_Hall 'P -2y'
_cell_length_a 5.7303
_cell_length_b 3.8511
_cell_length_c 7.6179
_cell_angle_alpha 90.00
_cell_angle_beta 98.46
_cell_angle_gamma 90.00
loop_
_atom_site_label
_atom_site_type_symbol
_atom_site_fract_x
_atom_site_fract_y
_atom_site_fract_z
Gd1 Gd 0.0000 0.0000 0.0000
Gd2 Gd 0.1688 0.0000 0.4778
Gd3 Gd 0.6892 0.5000 0.6182
Si1 Si 0.1977 0.5000 0.7677
Si2 Si 0.4784 0.0000 0.8362
Si3 Si 0.6098 0.0000 0.2904
Si4 Si 0.8748 0.5000 0.2685
Pt1 Pt 0.5214 0.5000 0.0447
```

***

Diffraction record for CsBa2Ir2F11. The X-ray diffraction stick pattern is calculated, not measured: it uses a structure optimized by DFT (GGA-PBE) and a wavelength of 1.5418 Å.
No peak broadening, texture or thermal motion is included.

Top 12 peaks for 15 to 90 degrees two-theta, by angle:
d_spacing	Rel. int.	index
5.449	32	1 0 1
4.129	36	1 1 0
3.820	100	1 0 3
3.626	69	1 1 2
2.920	72	2 0 0
2.791	57	1 1 4
2.690	31	1 0 5
2.320	51	2 1 3
2.154	27	1 1 6
2.065	57	2 2 0
1.660	26	3 1 4
1.396	29	2 2 8

Structural model:
```
data_CsBa2Ir2F11
_chemical_formula_sum 'Cs2 Ba4 Ir4 F22'
_space_group_name_H-M_alt 'I 4/m m m'
_space_group_IT_number 139
_space_group_name_Hall '-I 4 2'
_cell_length_a 5.8398
_cell_length_b 5.8398
_cell_length_c 15.1503
_cell_angle_alpha 90.00
_cell_angle_beta 90.00
_cell_angle_gamma 90.00
loop_
_atom_site_label
_atom_site_type_symbol
_atom_site_fract_x
_atom_site_fract_y
_atom_site_fract_z
Cs1 Cs 0.0000 0.0000 0.0000
Ba1 Ba 0.0000 0.5000 0.2500
Ir1 Ir 0.0000 0.0000 0.3698
F1 F 0.0000 0.0000 0.2383
F2 F 0.0000 0.0000 0.5000
F3 F 0.2434 0.2434 0.3681
```

***

Diffraction record for ZnGeSO. The X-ray diffraction stick pattern is calculated, not measured: it uses a structure optimized by DFT (GGA-PBE) and a wavelength of 1.5418 Å.
No peak broadening, texture or thermal motion is included.

Top 12 peaks for 15 to 90 degrees two-theta, by angle:
d_spacing	Rel. int.	index
4.402	41	1 1 1
3.925	73	0 2 0
3.247	62	0 2 2
2.994	100	2 0 0
2.889	84	0 0 4
2.749	39	0 2 3
2.330	72	0 2 4
2.201	36	2 2 2
1.992	34	0 2 5
1.858	44	0 4 2
1.658	35	2 2 5
1.579	46	2 4 2

Structural model:
```
data_ZnGeSO
_chemical_formula_sum 'Zn8 Ge8 S8 O8'
_space_group_name_H-M_alt 'P b c a'
_space_group_IT_number 61
_space_group_name_Hall '-P 2ac 2ab'
_cell_length_a 5.9888
_cell_length_b 7.8502
_cell_length_c 11.5564
_cell_angle_alpha 90.00
_cell_angle_beta 90.00
_cell_angle_gamma 90.00
loop_
_atom_site_label
_atom_site_type_symbol
_atom_site_fract_x
_atom_site_fract_y
_atom_site_fract_z
Zn1 Zn 0.1699 0.1325 0.0349
Ge1 Ge 0.2369 0.7209 0.2325
S1 S 0.2278 0.6238 0.4344
O1 O 0.0126 0.1425 0.7571
```

***

Diffraction record for AgS6N. The X-ray diffraction stick pattern is calculated, not measured: it uses a structure optimized by DFT (GGA-PBE) and a wavelength of 1.5418 Å.
No peak broadening, texture or thermal motion is included.

Top 12 peaks for 15 to 90 degrees two-theta, by angle:
d_spacing	Rel. int.	index
4.728	91	1 1 1
2.895	12	2 2 0
2.469	53	3 1 1
2.364	100	2 2 2
2.047	55	4 0 0
1.879	25	3 3 1
1.576	18	3 3 3
1.448	32	4 4 0
1.384	15	5 3 1
1.235	32	6 2 2
1.182	11	4 4 4
1.147	10	5 5 1

Structural model:
```
data_AgS6N
_chemical_formula_sum 'Ag4 S24 N4'
_space_group_name_H-M_alt 'F -4 3 m'
_space_group_IT_number 216
_space_group_name_Hall 'F -4 2 3'
_cell_length_a 8.1894
_cell_length_b 8.1894
_cell_length_c 8.1894
_cell_angle_alpha 90.00
_cell_angle_beta 90.00
_cell_angle_gamma 90.00
loop_
_atom_site_label
_atom_site_type_symbol
_atom_site_fract_x
_atom_site_fract_y
_atom_site_fract_z
Ag1 Ag 0.0000 0.0000 0.0000
S1 S 0.0154 0.2500 0.2500
N1 N 0.2500 0.2500 0.7500
```

***

Diffraction record for CsRbHo2O4. The X-ray diffraction stick pattern is calculated, not measured: it uses a structure optimized by DFT (GGA-PBE) and a wavelength of 1.5418 Å.
No peak broadening, texture or thermal motion is included.

Top 12 peaks for 15 to 90 degrees two-theta, by angle:
d_spacing	Rel. int.	index
3.695	54	0 0 4
3.033	12	1 0 0
2.971	32	1 0 1
2.806	100	1 0 2
2.344	19	1 0 4
2.117	14	1 0 5
1.912	40	1 0 6
1.751	26	1 1 0
1.582	29	1 1 4
1.485	15	2 0 2
1.271	12	1 1 8
1.133	13	2 1 2

Structural model:
```
data_CsRbHo2O4
_chemical_formula_sum 'Cs1 Rb1 Ho2 O4'
_space_group_name_H-M_alt 'P -6 m 2'
_space_group_IT_number 187
_space_group_name_Hall 'P -6 2'
_cell_length_a 3.5017
_cell_length_b 3.5017
_cell_length_c 14.7812
_cell_angle_alpha 90.00
_cell_angle_beta 90.00
_cell_angle_gamma 120.00
loop_
_atom_site_label
_atom_site_type_symbol
_atom_site_fract_x
_atom_site_fract_y
_atom_site_fract_z
Cs1 Cs 0.0000 0.0000 0.0000
Rb1 Rb 0.3333 0.6667 0.5000
Ho1 Ho 0.6667 0.3333 0.2543
O1 O 0.0000 0.0000 0.1795
O2 O 0.3333 0.6667 0.3287
```

***

Diffraction record for Ni9Ge2. The X-ray diffraction stick pattern is calculated, not measured: it uses a structure optimized by DFT (GGA-PBE) and a wavelength of 1.5418 Å.
No peak broadening, texture or thermal motion is included.

Top 12 peaks for 15 to 90 degrees two-theta, by angle:
d_spacing	Rel. int.	index
2.181	7	1 0 3
2.143	7	1 0 4
2.097	100	1 0 5
2.045	17	1 0 6
2.035	26	0 0 15
1.907	9	0 0 16
1.802	58	0 1 10
1.740	15	0 1 11
1.289	22	1 1 0
1.260	13	1 0 20
1.218	7	1 0 21
1.098	11	0 2 5

Structural model:
```
data_Ni9Ge2
_chemical_formula_sum 'Ni9 Ge2'
_space_group_name_H-M_alt 'P -3 m 1'
_space_group_IT_number 164
_space_group_name_Hall '-P 3 2"'
_cell_length_a 2.5787
_cell_length_b 2.5787
_cell_length_c 30.5195
_cell_angle_alpha 90.00
_cell_angle_beta 90.00
_cell_angle_gamma 120.00
loop_
_atom_site_label
_atom_site_type_symbol
_atom_site_fract_x
_atom_site_fract_y
_atom_site_fract_z
Ni1 Ni 0.0000 0.0000 0.0000
Ni2 Ni 0.0000 0.0000 0.1948
Ni3 Ni 0.3333 0.6667 0.1298
Ni4 Ni 0.3333 0.6667 0.7389
Ni5 Ni 0.3333 0.6667 0.9349
Ge1 Ge 0.3333 0.6667 0.3287
```

***

Diffraction record for ZrTa. The X-ray diffraction stick pattern is calculated, not measured: it uses a structure optimized by DFT (GGA-PBE) and a wavelength of 1.5418 Å.
No peak broadening, texture or thermal motion is included.

Top 12 peaks for 15 to 90 degrees two-theta, by angle:
d_spacing	Rel. int.	index
2.710	25	0 3 1
2.570	46	1 3 0
2.448	84	1 0 2
2.345	100	2 0 0
2.098	23	0 3 2
1.773	14	2 3 1
1.625	12	0 3 3
1.563	18	2 3 2
1.372	18	3 0 2
1.335	13	2 3 3
1.254	21	2 6 1
1.161	14	1 6 3

Structural model:
```
data_ZrTa
_chemical_formula_sum 'Zr6 Ta6'
_space_group_name_H-M_alt 'P m c 21'
_space_group_IT_number 26
_space_group_name_Hall 'P 2c -2'
_cell_length_a 4.6869
_cell_length_b 9.2218
_cell_length_c 5.7426
_cell_angle_alpha 90.00
_cell_angle_beta 90.00
_cell_angle_gamma 90.00
loop_
_atom_site_label
_atom_site_type_symbol
_atom_site_fract_x
_atom_site_fract_y
_atom_site_fract_z
Zr1 Zr 0.0000 0.1199 0.0000
Zr2 Zr 0.0000 0.2171 0.4777
Zr3 Zr 0.5000 0.2961 0.7836
Ta1 Ta 0.0000 0.4631 0.9979
Ta2 Ta 0.5000 0.0477 0.3037
Ta3 Ta 0.5000 0.3840 0.2765
```

***

Diffraction record for ScFeSb2Ir2. The X-ray diffraction stick pattern is calculated, not measured: it uses a structure optimized by DFT (GGA-PBE) and a wavelength of 1.5418 Å.
No peak broadening, texture or thermal motion is included.

Top 12 peaks for 15 to 90 degrees two-theta, by angle:
d_spacing	Rel. int.	index
3.609	58	1 0 1
3.550	60	0 2 1
2.217	27	2 0 0
2.193	100	1 2 2
2.164	24	0 4 0
1.880	21	2 2 1
1.876	11	1 0 3
1.856	17	1 4 1
1.548	16	2 4 0
1.275	17	3 2 2
1.255	14	1 6 2
1.096	10	2 4 4

Structural model:
```
data_ScFeSb2Ir2
_chemical_formula_sum 'Sc2 Fe2 Sb4 Ir4'
_space_group_name_H-M_alt 'P m n 21'
_space_group_IT_number 31
_space_group_name_Hall 'P 2ac -2'
_cell_length_a 4.4340
_cell_length_b 8.6545
_cell_length_c 6.2105
_cell_angle_alpha 90.00
_cell_angle_beta 90.00
_cell_angle_gamma 90.00
loop_
_atom_site_label
_atom_site_type_symbol
_atom_site_fract_x
_atom_site_fract_y
_atom_site_fract_z
Sc1 Sc 0.0000 0.1256 0.0000
Fe1 Fe 0.0000 0.6197 0.9870
Sb1 Sb 0.0000 0.1235 0.5016
Sb2 Sb 0.0000 0.6266 0.4692
Ir1 Ir 0.0000 0.3848 0.7279
Ir2 Ir 0.0000 0.8586 0.7560
```

***

Diffraction record for IrSe3Br9. The X-ray diffraction stick pattern is calculated, not measured: it uses a structure optimized by DFT (GGA-PBE) and a wavelength of 1.5418 Å.
No peak broadening, texture or thermal motion is included.

Top 12 peaks for 15 to 90 degrees two-theta, by angle:
d_spacing	Rel. int.	index
3.449	90	1 2 -4
3.222	69	0 4 0
3.132	100	2 2 -4
3.018	60	1 4 -1
2.941	62	1 4 -2
2.901	59	1 2 -5
2.818	57	0 1 5
2.794	46	2 1 2
2.539	100	3 0 0
2.491	46	3 1 0
2.470	63	2 2 -6
1.678	54	3 4 -8

Structural model:
```
data_IrSe3Br9
_chemical_formula_sum 'Ir4 Se12 Br36'
_space_group_name_H-M_alt 'P 1 21/c 1'
_space_group_IT_number 14
_space_group_name_Hall '-P 2ybc'
_cell_length_a 8.6087
_cell_length_b 12.8981
_cell_length_c 16.3191
_cell_angle_alpha 90.00
_cell_angle_beta 117.78
_cell_angle_gamma 90.00
loop_
_atom_site_label
_atom_site_type_symbol
_atom_site_fract_x
_atom_site_fract_y
_atom_site_fract_z
Ir1 Ir 0.2040 0.2394 0.1311
Se1 Se 0.1852 0.1779 0.2688
Se2 Se 0.2094 0.0711 0.0718
Se3 Se 0.2381 0.1744 0.5078
Br1 Br 0.1124 0.6683 0.2603
Br2 Br 0.1193 0.7348 0.4917
Br3 Br 0.1400 0.1042 0.7050
Br4 Br 0.1578 0.0936 0.9143
Br5 Br 0.2467 0.5059 0.0343
Br6 Br 0.2615 0.5022 0.7851
Br7 Br 0.4705 0.7077 0.9679
Br8 Br 0.4825 0.7438 0.2449
Br9 Br 0.4947 0.9995 0.1381
```

***

Diffraction record for W. The X-ray diffraction stick pattern is calculated, not measured: it uses a structure optimized by DFT (GGA-PBE) and a wavelength of 1.5418 Å.
No peak broadening, texture or thermal motion is included.

Top 11 peaks for 15 to 90 degrees two-theta, by angle:
d_spacing	Rel. int.	index
2.604	5	0 0 1
2.346	100	1 1 0
2.192	73	1 0 1
1.743	9	1 1 1
1.602	28	2 0 1
1.354	18	3 0 0
1.323	29	2 1 1
1.302	5	0 0 2
1.202	3	3 0 1
1.173	11	2 2 0
1.138	21	1 1 2

Structural model:
```
data_W
_chemical_formula_sum 'W3'
_space_group_name_H-M_alt 'P 6/m m m'
_space_group_IT_number 191
_space_group_name_Hall '-P 6 2'
_cell_length_a 4.6921
_cell_length_b 4.6921
_cell_length_c 2.6037
_cell_angle_alpha 90.00
_cell_angle_beta 90.00
_cell_angle_gamma 120.00
loop_
_atom_site_label
_atom_site_type_symbol
_atom_site_fract_x
_atom_site_fract_y
_atom_site_fract_z
W1 W 0.0000 0.0000 0.0000
W2 W 0.3333 0.6667 0.5000
```

***

Diffraction record for Dy2HoCoSn3Ir2. The X-ray diffraction stick pattern is calculated, not measured: it uses a structure optimized by DFT (GGA-PBE) and a wavelength of 1.5418 Å.
No peak broadening, texture or thermal motion is included.

Top 12 peaks for 15 to 90 degrees two-theta, by angle:
d_spacing	Rel. int.	index
2.670	100	1 3 1
2.470	86	1 4 0
2.464	31	0 4 2
2.173	37	0 6 0
2.065	21	1 4 2
1.893	21	2 0 0
1.808	12	0 7 1
1.632	13	1 5 3
1.501	21	2 4 2
1.428	19	2 6 0
1.391	26	1 7 3
1.332	13	1 6 4

Structural model:
```
data_Dy2HoCoSn3Ir2
_chemical_formula_sum 'Dy4 Ho2 Co2 Sn6 Ir4'
_space_group_name_H-M_alt 'A m m 2'
_space_group_IT_number 38
_space_group_name_Hall 'A 2 -2'
_cell_length_a 3.7864
_cell_length_b 13.0319
_cell_length_c 7.5329
_cell_angle_alpha 90.00
_cell_angle_beta 90.00
_cell_angle_gamma 90.00
loop_
_atom_site_label
_atom_site_type_symbol
_atom_site_fract_x
_atom_site_fract_y
_atom_site_fract_z
Dy1 Dy 0.0000 0.2028 0.0000
Ho1 Ho 0.0000 0.0000 0.3917
Co1 Co 0.0000 0.0000 0.7969
Sn1 Sn 0.5000 0.0000 0.0505
Sn2 Sn 0.5000 0.1264 0.6704
Ir1 Ir 0.5000 0.1663 0.2974
```

***

Diffraction record for LuNi2Ge. The X-ray diffraction stick pattern is calculated, not measured: it uses a structure optimized by DFT (GGA-PBE) and a wavelength of 1.5418 Å.
No peak broadening, texture or thermal motion is included.

Top 12 peaks for 15 to 90 degrees two-theta, by angle:
d_spacing	Rel. int.	index
3.220	33	1 0 1
2.813	84	1 1 1
2.545	45	0 2 1
2.431	64	0 1 2
2.350	82	1 2 0
2.152	36	1 2 1
2.081	100	1 1 2
2.014	50	2 0 0
1.815	26	0 3 1
1.580	21	2 2 1
1.551	32	2 1 2
1.459	19	1 3 2

Structural model:
```
data_LuNi2Ge
_chemical_formula_sum 'Lu2 Ni4 Ge2'
_space_group_name_H-M_alt 'P m n 21'
_space_group_IT_number 31
_space_group_name_Hall 'P 2ac -2'
_cell_length_a 4.0284
_cell_length_b 5.7856
_cell_length_c 5.3579
_cell_angle_alpha 90.00
_cell_angle_beta 90.00
_cell_angle_gamma 90.00
loop_
_atom_site_label
_atom_site_type_symbol
_atom_site_fract_x
_atom_site_fract_y
_atom_site_fract_z
Lu1 Lu 0.0000 0.0889 0.0000
Ni1 Ni 0.0000 0.2737 0.5042
Ni2 Ni 0.0000 0.6488 0.2675
Ge1 Ge 0.0000 0.6134 0.7765
```

***

What did the twelfth record say?
Diffraction record for LuNi2Ge. The X-ray diffraction stick pattern is calculated, not measured: it uses a structure optimized by DFT (GGA-PBE) and a wavelength of 1.5418 Å.
No peak broadening, texture or thermal motion is included.

Top 12 peaks for 15 to 90 degrees two-theta, by angle:
d_spacing	Rel. int.	index
3.220	33	1 0 1
2.813	84	1 1 1
2.545	45	0 2 1
2.431	64	0 1 2
2.350	82	1 2 0
2.152	36	1 2 1
2.081	100	1 1 2
2.014	50	2 0 0
1.815	26	0 3 1
1.580	21	2 2 1
1.551	32	2 1 2
1.459	19	1 3 2

Structural model:
```
data_LuNi2Ge
_chemical_formula_sum 'Lu2 Ni4 Ge2'
_space_group_name_H-M_alt 'P m n 21'
_space_group_IT_number 31
_space_group_name_Hall 'P 2ac -2'
_cell_length_a 4.0284
_cell_length_b 5.7856
_cell_length_c 5.3579
_cell_angle_alpha 90.00
_cell_angle_beta 90.00
_cell_angle_gamma 90.00
loop_
_atom_site_label
_atom_site_type_symbol
_atom_site_fract_x
_atom_site_fract_y
_atom_site_fract_z
Lu1 Lu 0.0000 0.0889 0.0000
Ni1 Ni 0.0000 0.2737 0.5042
Ni2 Ni 0.0000 0.6488 0.2675
Ge1 Ge 0.0000 0.6134 0.7765
```

***

Repeat the ninth record exactly.
Diffraction record for IrSe3Br9. The X-ray diffraction stick pattern is calculated, not measured: it uses a structure optimized by DFT (GGA-PBE) and a wavelength of 1.5418 Å.
No peak broadening, texture or thermal motion is included.

Top 12 peaks for 15 to 90 degrees two-theta, by angle:
d_spacing	Rel. int.	index
3.449	90	1 2 -4
3.222	69	0 4 0
3.132	100	2 2 -4
3.018	60	1 4 -1
2.941	62	1 4 -2
2.901	59	1 2 -5
2.818	57	0 1 5
2.794	46	2 1 2
2.539	100	3 0 0
2.491	46	3 1 0
2.470	63	2 2 -6
1.678	54	3 4 -8

Structural model:
```
data_IrSe3Br9
_chemical_formula_sum 'Ir4 Se12 Br36'
_space_group_name_H-M_alt 'P 1 21/c 1'
_space_group_IT_number 14
_space_group_name_Hall '-P 2ybc'
_cell_length_a 8.6087
_cell_length_b 12.8981
_cell_length_c 16.3191
_cell_angle_alpha 90.00
_cell_angle_beta 117.78
_cell_angle_gamma 90.00
loop_
_atom_site_label
_atom_site_type_symbol
_atom_site_fract_x
_atom_site_fract_y
_atom_site_fract_z
Ir1 Ir 0.2040 0.2394 0.1311
Se1 Se 0.1852 0.1779 0.2688
Se2 Se 0.2094 0.0711 0.0718
Se3 Se 0.2381 0.1744 0.5078
Br1 Br 0.1124 0.6683 0.2603
Br2 Br 0.1193 0.7348 0.4917
Br3 Br 0.1400 0.1042 0.7050
Br4 Br 0.1578 0.0936 0.9143
Br5 Br 0.2467 0.5059 0.0343
Br6 Br 0.2615 0.5022 0.7851
Br7 Br 0.4705 0.7077 0.9679
Br8 Br 0.4825 0.7438 0.2449
Br9 Br 0.4947 0.9995 0.1381
```